1.
HoPuPd3: computed X-ray diffraction stick pattern (CuKα), based on a cell relaxed with PBE.

Crystal structure
```
data_HoPuPd3
_chemical_formula_sum 'Ho4 Pu4 Pd12'
_space_group_name_H-M_alt 'P 1 21/c 1'
_space_group_IT_number 14
_space_group_name_Hall '-P 2ybc'
_cell_length_a 8.513
_cell_length_b 5.554
_cell_length_c 9.165
_cell_angle_alpha 90.00
_cell_angle_beta 105.72
_cell_angle_gamma 90.00
loop_
_atom_site_label
_atom_site_fract_x
_atom_site_fract_y
_atom_site_fract_z
_atom_site_occupancy
Ho1 0.168 0.222 0.167 1
Pu1 0.275 0.745 0.943 1
Pd1 0.031 0.707 0.131 1
Pd2 0.377 0.245 0.969 1
Pd3 0.497 0.001 0.748 1
```

Most intense lines, 2θ = 10–80°, by angle:
| 2θ (°) | I_rel | h k l |
| --- | --- | --- |
| 25.79 | 29.9 | 0 1 2 |
| 30.11 | 40.4 | 2 1 -2 |
| 32.24 | 47.6 | 0 2 0 |
| 33.62 | 89.8 | 3 0 -2 |
| 37.42 | 100.0 | 2 1 2 |
| 38.30 | 47.0 | 0 2 2 |
| 39.19 | 25.4 | 2 2 0 |
| 39.32 | 63.2 | 1 0 -4 |
| 47.28 | 38.9 | 4 1 0 |
| 51.73 | 25.6 | 1 2 -4 |

***

2.
TbCu2Sn3: computed X-ray diffraction stick pattern (CuKα), based on a cell relaxed with PBE.

Crystal structure
```
data_TbCu2Sn3
_chemical_formula_sum 'Tb4 Cu8 Sn12'
_space_group_name_H-M_alt 'C m c m'
_space_group_IT_number 63
_space_group_name_Hall '-C 2c 2'
_cell_length_a 8.621
_cell_length_b 11.538
_cell_length_c 5.825
_cell_angle_alpha 90.00
_cell_angle_beta 90.00
_cell_angle_gamma 90.00
loop_
_atom_site_label
_atom_site_fract_x
_atom_site_fract_y
_atom_site_fract_z
_atom_site_occupancy
Tb1 0.000 0.237 0.250 1
Cu1 0.145 0.500 0.000 1
Sn1 0.000 0.345 0.750 1
Sn2 0.163 0.114 0.750 1
```

Most intense lines, 2θ = 10–80°, by angle:
| 2θ (°) | I_rel | h k l |
| --- | --- | --- |
| 25.80 | 55.4 | 2 2 0 |
| 29.70 | 100.0 | 1 3 1 |
| 30.09 | 74.8 | 2 2 1 |
| 30.70 | 41.7 | 0 0 2 |
| 34.50 | 39.8 | 0 2 2 |
| 35.70 | 35.8 | 3 1 1 |
| 39.13 | 35.2 | 3 3 0 |
| 43.47 | 45.9 | 1 5 1 |
| 45.01 | 53.6 | 3 1 2 |
| 47.67 | 26.2 | 4 2 1 |

***

3.
Sr3La3ScSe8: computed X-ray diffraction stick pattern (CuKα), based on a cell relaxed with PBE.

Crystal structure
```
data_Sr3La3ScSe8
_chemical_formula_sum 'Sr9 La9 Sc3 Se24'
_space_group_name_H-M_alt 'R -3 m'
_space_group_IT_number 166
_space_group_name_Hall '-R 3 2"'
_cell_length_a 8.5757
_cell_length_b 8.5757
_cell_length_c 21.6223
_cell_angle_alpha 90.00
_cell_angle_beta 90.00
_cell_angle_gamma 120.00
loop_
_atom_site_label
_atom_site_fract_x
_atom_site_fract_y
_atom_site_fract_z
_atom_site_occupancy
Sr1 0.0000 0.5000 0.0000 1
La1 0.0000 0.5000 0.5000 1
Sc1 0.0000 0.0000 0.5000 1
Se1 0.0000 0.0000 0.2487 1
Se2 0.0232 0.5116 0.2414 1
```

Most intense lines, 2θ = 10–80°, by angle:
| 2θ (°) | I_rel | h k l |
| --- | --- | --- |
| 12.28 | 10.5 | 0 0 3 |
| 14.47 | 8.8 | 0 1 2 |
| 29.18 | 100.0 | 0 2 4 |
| 41.32 | 36.6 | 2 0 8 |
| 42.15 | 35.8 | 2 2 0 |
| 52.08 | 18.5 | 4 0 4 |
| 60.50 | 11.2 | 0 4 8 |
| 67.96 | 14.8 | 2 2 12 |
| 69.15 | 15.0 | 2 4 4 |
| 76.47 | 10.9 | 4 2 8 |

***

4.
TbMg3Sc3: computed X-ray diffraction stick pattern (CuKα), based on a cell relaxed with PBE.

Crystal structure
```
data_TbMg3Sc3
_chemical_formula_sum 'Tb2 Mg6 Sc6'
_space_group_name_H-M_alt 'P 1 21/m 1'
_space_group_IT_number 11
_space_group_name_Hall '-P 2yb'
_cell_length_a 8.733
_cell_length_b 5.292
_cell_length_c 8.736
_cell_angle_alpha 90.00
_cell_angle_beta 119.95
_cell_angle_gamma 90.00
loop_
_atom_site_label
_atom_site_fract_x
_atom_site_fract_y
_atom_site_fract_z
_atom_site_occupancy
Tb1 0.167 0.250 0.333 1
Mg1 0.031 0.250 0.620 1
Mg2 0.120 0.750 0.089 1
Mg3 0.411 0.750 0.531 1
Sc1 0.271 0.750 0.804 1
Sc2 0.304 0.250 0.032 1
Sc3 0.468 0.250 0.771 1
```

Most intense lines, 2θ = 10–80°, by angle:
| 2θ (°) | I_rel | h k l |
| --- | --- | --- |
| 20.33 | 42.6 | 1 0 -2 |
| 20.48 | 77.8 | 1 1 0 |
| 29.01 | 29.1 | 2 1 -2 |
| 31.28 | 42.3 | 3 0 -2 |
| 33.88 | 37.2 | 0 2 0 |
| 35.66 | 62.5 | 2 1 1 |
| 35.69 | 100.0 | 1 1 -3 |
| 55.68 | 33.7 | 1 0 4 |
| 61.79 | 28.8 | 2 3 1 |
| 66.79 | 32.7 | 1 2 4 |

***

5.
Pm4Pr2Tm3: computed X-ray diffraction stick pattern (CuKα), based on a cell relaxed with PBE.

Crystal structure
```
data_Pm4Pr2Tm3
_chemical_formula_sum 'Pm16 Pr8 Tm12'
_space_group_name_H-M_alt 'C 1 2/c 1'
_space_group_IT_number 15
_space_group_name_Hall '-C 2yc'
_cell_length_a 16.332
_cell_length_b 11.818
_cell_length_c 6.230
_cell_angle_alpha 90.00
_cell_angle_beta 96.20
_cell_angle_gamma 90.00
loop_
_atom_site_label
_atom_site_fract_x
_atom_site_fract_y
_atom_site_fract_z
_atom_site_occupancy
Pm1 0.048 0.140 0.014 1
Pm2 0.215 0.360 0.847 1
Pr1 0.119 0.358 0.320 1
Tm1 0.000 0.399 0.750 1
Tm2 0.166 0.100 0.586 1
```

Most intense lines, 2θ = 10–80°, by angle:
| 2θ (°) | I_rel | h k l |
| --- | --- | --- |
| 29.76 | 62.4 | 1 1 -2 |
| 30.25 | 48.1 | 0 4 0 |
| 30.62 | 59.2 | 5 1 -1 |
| 31.50 | 100.0 | 4 2 1 |
| 36.86 | 32.9 | 1 3 -2 |
| 37.58 | 28.5 | 5 3 -1 |
| 49.53 | 14.1 | 3 1 3 |
| 51.22 | 13.4 | 9 1 0 |
| 54.53 | 12.2 | 4 6 1 |
| 55.20 | 21.6 | 6 2 -3 |

***

6.
TbNd2Cd2Ag2: computed X-ray diffraction stick pattern (CuKα), based on a cell relaxed with PBE.

Crystal structure
```
data_TbNd2Cd2Ag2
_chemical_formula_sum 'Tb3 Nd6 Cd6 Ag6'
_space_group_name_H-M_alt 'R -3 m'
_space_group_IT_number 166
_space_group_name_Hall '-R 3 2"'
_cell_length_a 4.9104
_cell_length_b 4.9104
_cell_length_c 26.5261
_cell_angle_alpha 90.00
_cell_angle_beta 90.00
_cell_angle_gamma 120.00
loop_
_atom_site_label
_atom_site_fract_x
_atom_site_fract_y
_atom_site_fract_z
_atom_site_occupancy
Tb1 0.0000 0.0000 0.0000 1
Nd1 0.0000 0.0000 0.1236 1
Cd1 0.0000 0.0000 0.2677 1
Ag1 0.0000 0.0000 0.3934 1
```

Most intense lines, 2θ = 10–80°, by angle:
| 2θ (°) | I_rel | h k l |
| --- | --- | --- |
| 10.00 | 14.7 | 0 0 3 |
| 31.63 | 48.4 | 1 0 7 |
| 34.29 | 77.6 | 0 1 8 |
| 36.60 | 100.0 | 1 1 0 |
| 49.13 | 14.0 | 0 2 7 |
| 51.03 | 24.8 | 2 0 8 |
| 62.80 | 13.2 | 2 1 7 |
| 64.42 | 24.2 | 1 2 8 |
| 64.99 | 24.5 | 1 1 15 |
| 65.89 | 17.2 | 3 0 0 |

***

7.
Ce4Zn5Ge6: computed X-ray diffraction stick pattern (CuKα), based on a cell relaxed with PBE.

Crystal structure
```
data_Ce4Zn5Ge6
_chemical_formula_sum 'Ce16 Zn20 Ge24'
_space_group_name_H-M_alt 'C m c 21'
_space_group_IT_number 36
_space_group_name_Hall 'C 2c -2'
_cell_length_a 4.327
_cell_length_b 18.959
_cell_length_c 15.553
_cell_angle_alpha 90.00
_cell_angle_beta 90.00
_cell_angle_gamma 90.00
loop_
_atom_site_label
_atom_site_fract_x
_atom_site_fract_y
_atom_site_fract_z
_atom_site_occupancy
Ce1 0.000 0.023 0.000 1
Ce2 0.000 0.033 0.262 1
Ce3 0.000 0.168 0.803 1
Ce4 0.000 0.175 0.447 1
Zn1 0.000 0.152 0.127 1
Zn2 0.000 0.300 0.125 1
Zn3 0.000 0.345 0.776 1
Zn4 0.000 0.350 0.480 1
Zn5 0.000 0.434 0.184 1
Ge1 0.000 0.110 0.619 1
Ge2 0.000 0.220 0.988 1
Ge3 0.000 0.225 0.265 1
Ge4 0.000 0.431 0.630 1
Ge5 0.000 0.432 0.907 1
Ge6 0.000 0.440 0.355 1
```

Most intense lines, 2θ = 10–80°, by angle:
| 2θ (°) | I_rel | h k l |
| --- | --- | --- |
| 27.25 | 15.7 | 1 1 3 |
| 31.32 | 58.1 | 1 5 0 |
| 31.90 | 29.1 | 1 5 1 |
| 34.09 | 20.2 | 1 3 4 |
| 34.60 | 19.7 | 0 0 6 |
| 35.94 | 100.0 | 1 5 3 |
| 39.19 | 23.3 | 1 5 4 |
| 41.75 | 57.9 | 2 0 0 |
| 45.90 | 16.5 | 1 7 4 |
| 51.32 | 15.8 | 0 10 3 |

***

8.
Y3Ga3Ag: computed X-ray diffraction stick pattern (CuKα), based on a cell relaxed with PBE.

Crystal structure
```
data_Y3Ga3Ag
_chemical_formula_sum 'Y12 Ga12 Ag4'
_space_group_name_H-M_alt 'C 1 2/m 1'
_space_group_IT_number 12
_space_group_name_Hall '-C 2y'
_cell_length_a 10.852
_cell_length_b 4.418
_cell_length_c 14.285
_cell_angle_alpha 90.00
_cell_angle_beta 110.06
_cell_angle_gamma 90.00
loop_
_atom_site_label
_atom_site_fract_x
_atom_site_fract_y
_atom_site_fract_z
_atom_site_occupancy
Y1 0.033 0.000 0.380 1
Y2 0.105 0.000 0.924 1
Y3 0.237 0.000 0.223 1
Ga1 0.025 0.500 0.228 1
Ga2 0.110 0.500 0.075 1
Ga3 0.124 0.500 0.546 1
Ag1 0.244 0.500 0.394 1
```

Most intense lines, 2θ = 10–80°, by angle:
| 2θ (°) | I_rel | h k l |
| --- | --- | --- |
| 31.75 | 82.4 | 1 1 3 |
| 32.07 | 26.3 | 3 1 -1 |
| 32.25 | 100.0 | 1 1 -4 |
| 33.04 | 32.9 | 4 0 -2 |
| 33.86 | 24.8 | 3 1 -3 |
| 36.67 | 47.1 | 3 1 -4 |
| 39.29 | 93.9 | 3 1 2 |
| 40.33 | 23.8 | 0 0 6 |
| 40.85 | 66.1 | 0 2 0 |
| 63.62 | 23.3 | 7 1 -3 |

***

9.
Ce4MgN5: computed X-ray diffraction stick pattern (CuKα), based on a cell relaxed with PBE.

Crystal structure
```
data_Ce4MgN5
_chemical_formula_sum 'Ce8 Mg2 N10'
_space_group_name_H-M_alt 'I 4/m m m'
_space_group_IT_number 139
_space_group_name_Hall '-I 4 2'
_cell_length_a 3.543
_cell_length_b 3.543
_cell_length_c 24.292
_cell_angle_alpha 90.00
_cell_angle_beta 90.00
_cell_angle_gamma 90.00
loop_
_atom_site_label
_atom_site_fract_x
_atom_site_fract_y
_atom_site_fract_z
_atom_site_occupancy
Ce1 0.000 0.000 0.092 1
Ce2 0.000 0.000 0.302 1
Mg1 0.000 0.000 0.500 1
N1 0.000 0.000 0.000 1
N2 0.000 0.000 0.198 1
N3 0.000 0.000 0.406 1
```

Most intense lines, 2θ = 10–80°, by angle:
| 2θ (°) | I_rel | h k l |
| --- | --- | --- |
| 25.40 | 9.2 | 1 0 1 |
| 27.48 | 13.1 | 1 0 3 |
| 31.24 | 100.0 | 1 0 5 |
| 35.84 | 57.6 | 1 1 0 |
| 37.01 | 23.5 | 0 0 10 |
| 51.59 | 19.6 | 2 0 0 |
| 52.47 | 33.2 | 1 1 10 |
| 61.56 | 30.7 | 2 1 5 |
| 63.12 | 11.0 | 1 0 15 |
| 65.17 | 16.8 | 2 0 10 |

***

10.
I: computed X-ray diffraction stick pattern (CuKα), based on a cell relaxed with PBE.

Crystal structure
```
data_I
_chemical_formula_sum 'I2'
_space_group_name_H-M_alt 'I m m m'
_space_group_IT_number 71
_space_group_name_Hall '-I 2 2'
_cell_length_a 2.958
_cell_length_b 3.823
_cell_length_c 8.624
_cell_angle_alpha 90.00
_cell_angle_beta 90.00
_cell_angle_gamma 90.00
loop_
_atom_site_label
_atom_site_fract_x
_atom_site_fract_y
_atom_site_fract_z
_atom_site_occupancy
I1 0.000 0.000 0.000 1
```

Most intense lines, 2θ = 10–80°, by angle:
| 2θ (°) | I_rel | h k l |
| --- | --- | --- |
| 20.60 | 84.5 | 0 0 2 |
| 25.48 | 100.0 | 0 1 1 |
| 31.98 | 55.3 | 1 0 1 |
| 38.47 | 33.2 | 1 1 0 |
| 39.21 | 31.5 | 0 1 3 |
| 43.92 | 22.7 | 1 0 3 |
| 44.03 | 45.1 | 1 1 2 |
| 52.35 | 13.5 | 0 2 2 |
| 58.19 | 19.5 | 1 1 4 |
| 58.47 | 19.2 | 1 2 1 |

***

11.
NaTl2SiF6: computed X-ray diffraction stick pattern (CuKα), based on a cell relaxed with PBE.

Crystal structure
```
data_NaTl2SiF6
_chemical_formula_sum 'Na2 Tl4 Si2 F12'
_space_group_name_H-M_alt 'P m m n'
_space_group_IT_number 59
_cell_length_a 5.536
_cell_length_b 12.161
_cell_length_c 5.536
_cell_angle_alpha 90.00
_cell_angle_beta 90.00
_cell_angle_gamma 90.00
loop_
_space_group_symop_operation_xyz
'x,y,z'
'-x,-y,-z'
'-x+1/2,-y+1/2,z'
'x+1/2,y+1/2,-z'
'x+1/2,-y,-z'
'-x+1/2,y,z'
'-x,y+1/2,-z'
'x,-y+1/2,z'
loop_
_atom_site_label
_atom_site_fract_x
_atom_site_fract_y
_atom_site_fract_z
_atom_site_occupancy
Na1 0.250 0.250 0.246 1
Tl1 0.250 0.000 0.752 1
Si1 0.250 0.750 0.255 1
F1 0.031 0.750 0.035 1
F2 0.031 0.750 0.474 1
F3 0.250 0.609 0.255 1
```

Most intense lines, 2θ = 10–80°, by angle:
| 2θ (°) | I_rel | h k l |
| --- | --- | --- |
| 14.57 | 36.2 | 0 2 0 |
| 22.71 | 33.8 | 1 0 1 |
| 27.09 | 100.0 | 1 2 1 |
| 29.38 | 25.2 | 0 4 0 |
| 32.34 | 27.7 | 2 0 0 |
| 35.64 | 44.8 | 2 2 0 |
| 37.45 | 30.9 | 1 4 1 |
| 46.39 | 17.9 | 2 0 2 |
| 50.72 | 20.5 | 1 6 1 |
| 54.55 | 28.2 | 3 2 1 |

***

12.
Sr4PdAu3: computed X-ray diffraction stick pattern (CuKα), based on a cell relaxed with PBE.

Crystal structure
```
data_Sr4PdAu3
_chemical_formula_sum 'Sr4 Pd1 Au3'
_space_group_name_H-M_alt 'P m m 2'
_space_group_IT_number 25
_space_group_name_Hall 'P 2 -2'
_cell_length_a 4.307
_cell_length_b 4.715
_cell_length_c 11.635
_cell_angle_alpha 90.00
_cell_angle_beta 90.00
_cell_angle_gamma 90.00
loop_
_atom_site_label
_atom_site_fract_x
_atom_site_fract_y
_atom_site_fract_z
_atom_site_occupancy
Sr1 0.000 0.000 0.000 1
Sr2 0.000 0.500 0.269 1
Sr3 0.500 0.000 0.488 1
Sr4 0.500 0.500 0.773 1
Pd1 0.500 0.000 0.207 1
Au1 0.000 0.000 0.712 1
Au2 0.000 0.500 0.554 1
Au3 0.500 0.500 0.058 1
```

Most intense lines, 2θ = 10–80°, by angle:
| 2θ (°) | I_rel | h k l |
| --- | --- | --- |
| 15.23 | 31.6 | 0 0 2 |
| 22.01 | 36.0 | 1 0 1 |
| 29.11 | 86.2 | 1 1 1 |
| 36.29 | 39.8 | 0 1 4 |
| 36.54 | 100.0 | 1 1 3 |
| 38.17 | 32.3 | 0 2 0 |
| 41.96 | 24.8 | 2 0 0 |
| 56.65 | 22.1 | 2 1 4 |
| 67.95 | 21.3 | 1 3 3 |
| 73.06 | 31.5 | 1 2 7 |